Starting from a crystal structure in Alexandria, relaxed with PBE, the XRD peak list of Ti6NbZn5 was simulated for Cu Kα (weighted mean of Kα1 and Kα2).
Neutral-atom scattering factors, no anomalous dispersion.

Atomic structure:
Cell lengths 4.503, 13.475, 6.314 Å; angles 90.00, 90.00, 90.00 degrees
Space group Cmmm (No. 65)
One atom of each set of equivalent atoms:
Ti: 0.000 0.000 0.248 [4 per cell]
Ti: 0.000 0.334 0.251 [8 per cell]
Nb: 0.000 0.500 0.500 [2 per cell]
Zn: 0.000 0.164 0.500 [4 per cell]
Zn: 0.000 0.168 0.000 [4 per cell]
Zn: 0.000 0.500 0.000 [2 per cell]

Principal peaks in the range 10° ≤ 2θ ≤ 80°, sorted by position:
d 2.252, I = 25, hkl 2 0 0
d 2.246, I = 25, hkl 0 6 0
d 2.240, I = 100, hkl 1 3 2
d 1.590, I = 16, hkl 2 6 0
d 1.578, I = 8, hkl 0 0 4
d 1.298, I = 15, hkl 3 3 2
d 1.296, I = 15, hkl 1 9 2
d 1.292, I = 15, hkl 2 0 4



Starting from a crystal structure in Alexandria, relaxed with PBE, the XRD peak list of Co2Ni21B6 was simulated for Cu Kα (weighted mean of Kα1 and Kα2).
Neutral-atom scattering factors, no anomalous dispersion.

Atomic structure:
Cell lengths 10.441, 10.441, 10.441 Å; angles 90.00, 90.00, 90.00 degrees
Space group Fm-3m (No. 225)
One atom of each set of equivalent atoms:
Co: 0.250 0.250 0.250 [8 per cell]
Ni: 0.000 0.000 0.000 [4 per cell]
Ni: 0.000 0.169 0.169 [48 per cell]
Ni: 0.118 0.118 0.382 [32 per cell]
B: 0.000 0.000 0.272 [24 per cell]

Principal peaks in the range 10° ≤ 2θ ≤ 80°, sorted by position:
d 2.335, I = 22, hkl 4 2 0
d 2.131, I = 28, hkl 4 2 2
d 2.009, I = 100, hkl 3 3 3
d 1.846, I = 21, hkl 4 4 0
d 1.765, I = 26, hkl 5 3 1
d 1.740, I = 13, hkl 6 0 0
d 1.231, I = 21, hkl 6 6 0
d 1.206, I = 13, hkl 5 5 5



Starting from a crystal structure in Alexandria, relaxed with PBE, the XRD peak list of Pb2OF2 was simulated for Cu Kα (weighted mean of Kα1 and Kα2).
Neutral-atom scattering factors, no anomalous dispersion.

Atomic structure:
Cell lengths 10.022, 6.480, 6.191 Å; angles 90.00, 90.00, 90.00 degrees
Space group Pbcn (No. 60)
One atom of each set of equivalent atoms:
Pb: 0.105 0.223 0.019 [8 per cell]
O: 0.000 0.021 0.750 [4 per cell]
F: 0.108 0.366 0.429 [8 per cell]

Principal peaks in the range 10° ≤ 2θ ≤ 80°, sorted by position:
d 3.338, I = 100, hkl 2 1 1
d 3.240, I = 25, hkl 0 2 0
d 3.096, I = 26, hkl 0 0 2
d 2.238, I = 21, hkl 0 2 2
d 1.948, I = 13, hkl 4 0 2
d 1.889, I = 21, hkl 2 3 1
d 1.830, I = 20, hkl 2 1 3
d 1.669, I = 14, hkl 4 2 2



Starting from a crystal structure in Alexandria, relaxed with PBE, the XRD peak list of Nb5SiGe was simulated for Cu Kα (weighted mean of Kα1 and Kα2).
Neutral-atom scattering factors, no anomalous dispersion.

Atomic structure:
Cell lengths 7.964, 12.223, 5.037 Å; angles 90.00, 90.00, 90.00 degrees
Space group Cmcm (No. 63)
One atom of each set of equivalent atoms:
Nb: 0.000 0.204 0.250 [4 per cell]
Nb: 0.179 0.167 0.750 [8 per cell]
Nb: 0.198 0.419 0.750 [8 per cell]
Si: 0.000 0.000 0.000 [4 per cell]
Ge: 0.000 0.412 0.250 [4 per cell]

Principal peaks in the range 10° ≤ 2θ ≤ 80°, sorted by position:
d 3.627, I = 19, hkl 1 3 0
d 2.612, I = 19, hkl 0 4 1
d 2.518, I = 65, hkl 0 0 2
d 2.337, I = 31, hkl 1 5 0
d 2.306, I = 100, hkl 3 1 1
d 2.184, I = 94, hkl 2 4 1
d 1.409, I = 20, hkl 3 1 3
d 1.380, I = 21, hkl 2 4 3